(1)
Diffraction record for Li2Zn6Cu3. The powder XRD pattern is computed, not measured: it uses a cell relaxed with GGA-PBE and Cu Kα (λ = 1.5418 Å).
Neutral-atom scattering factors, no anomalous dispersion.

Structural model:
abc: 4.757 5.548 6.222
angles: 109.84 96.24 101.03
Space group P-1 (No. 2)
One atom of each set of equivalent atoms:
Li  0.087  0.357  0.319 (multiplicity 2)
Zn  0.174  0.728  0.147 (multiplicity 2)
Zn  0.279  0.094  0.949 (multiplicity 2)
Zn  0.455  0.801  0.578 (multiplicity 2)
Cu  0.000  0.000  0.500 (multiplicity 1)
Cu  0.362  0.460  0.784 (multiplicity 2)

Most intense lines, 2θ from 5° to 70°, by intensity:
41.5°, rel. 100; 41.3°, rel. 52; 41.8°, rel. 49; 45.2°, rel. 39; 46.4°, rel. 35; 53.1°, rel. 23; 18.6°, rel. 17; 66.5°, rel. 11; 67.2°, rel. 11; 19.4°, rel. 10; 29.3°, rel. 10; 25.9°, rel. 6

=====

(2)
Diffraction record for Np2Ge2Au3. The powder XRD pattern is computed, not measured: it uses a cell relaxed with GGA-PBE and Cu Kα (λ = 1.5418 Å).
Neutral-atom scattering factors, no anomalous dispersion.

Structural model:
abc: 4.588 2.984 10.657
angles: 90.00 102.22 90.00
Space group P2/m (No. 10)
One atom of each set of equivalent atoms:
Np  0.144  0.000  0.285 (multiplicity 2)
Ge  0.425  0.500  0.854 (multiplicity 2)
Au  0.000  0.500  0.000 (multiplicity 1)
Au  0.286  0.500  0.574 (multiplicity 2)

Most intense lines, 2θ from 5° to 70°, by intensity:
38.2°, rel. 100; 35.9°, rel. 61; 34.6°, rel. 61; 36.0°, rel. 61; 39.3°, rel. 48; 8.5°, rel. 29; 19.8°, rel. 24; 53.7°, rel. 20; 53.3°, rel. 19; 53.4°, rel. 18; 36.2°, rel. 17; 62.4°, rel. 15

=====

(3)
Diffraction record for Ca2Tl8Sn. The powder XRD pattern is computed, not measured: it uses a cell relaxed with GGA-PBE and Cu Kα (λ = 1.5418 Å).
Neutral-atom scattering factors, no anomalous dispersion.

Structural model:
abc: 5.468 5.468 11.332
angles: 90.00 90.00 90.00
Space group P4/mmm (No. 123)
One atom of each set of equivalent atoms:
Ca  0.000  0.000  0.181 (multiplicity 2)
Tl  0.000  0.500  0.000 (multiplicity 2)
Tl  0.000  0.500  0.350 (multiplicity 4)
Tl  0.500  0.500  0.176 (multiplicity 2)
Sn  0.000  0.000  0.500 (multiplicity 1)

Most intense lines, 2θ from 5° to 70°, by intensity:
33.2°, rel. 100; 32.8°, rel. 55; 58.7°, rel. 40; 47.0°, rel. 20; 59.5°, rel. 16; 23.0°, rel. 14; 69.6°, rel. 10; 18.0°, rel. 10; 22.6°, rel. 8; 48.2°, rel. 8; 68.7°, rel. 7; 23.6°, rel. 6

=====

(4)
Diffraction record for Ca5Ge6Pd6. The powder XRD pattern is computed, not measured: it uses a cell relaxed with GGA-PBE and Cu Kα (λ = 1.5418 Å).
Neutral-atom scattering factors, no anomalous dispersion.

Structural model:
abc: 8.833 8.833 8.833
angles: 90.00 90.00 90.00
Space group Im-3m (No. 229)
One atom of each set of equivalent atoms:
Ca  0.000  0.000  0.000 (multiplicity 2)
Ca  0.250  0.250  0.250 (multiplicity 8)
Ge  0.000  0.000  0.346 (multiplicity 12)
Pd  0.000  0.250  0.500 (multiplicity 12)

Most intense lines, 2θ from 5° to 70°, by intensity:
35.2°, rel. 100; 40.9°, rel. 62; 14.2°, rel. 60; 43.5°, rel. 47; 20.1°, rel. 40; 38.1°, rel. 39; 48.3°, rel. 34; 59.2°, rel. 22; 65.1°, rel. 15; 68.9°, rel. 14; 52.8°, rel. 13; 50.6°, rel. 7

=====

(5)
Diffraction record for Rb3Ho2MnTe6. The powder XRD pattern is computed, not measured: it uses a cell relaxed with GGA-PBE and Cu Kα (λ = 1.5418 Å).
Neutral-atom scattering factors, no anomalous dispersion.

Structural model:
abc: 7.794 13.104 8.928
angles: 90.00 107.59 90.00
Space group C2/m (No. 12)
One atom of each set of equivalent atoms:
Rb  0.000  0.000  0.000 (multiplicity 2)
Rb  0.000  0.326  0.000 (multiplicity 4)
Ho  0.000  0.162  0.500 (multiplicity 4)
Mn  0.000  0.500  0.500 (multiplicity 2)
Te  0.213  0.346  0.684 (multiplicity 8)
Te  0.239  0.000  0.706 (multiplicity 4)

Most intense lines, 2θ from 5° to 70°, by intensity:
27.3°, rel. 100; 26.7°, rel. 60; 36.6°, rel. 47; 10.4°, rel. 44; 40.4°, rel. 40; 49.9°, rel. 19; 41.3°, rel. 18; 34.1°, rel. 17; 45.7°, rel. 16; 65.0°, rel. 11; 49.0°, rel. 9; 33.5°, rel. 7

=====

(6)
Diffraction record for Ac4BiRu2. The powder XRD pattern is computed, not measured: it uses a cell relaxed with GGA-PBE and Cu Kα (λ = 1.5418 Å).
Neutral-atom scattering factors, no anomalous dispersion.

Structural model:
abc: 10.121 14.142 14.182
angles: 90.00 90.00 90.00
Space group Fddd (No. 70, origin choice 2)
One atom of each set of equivalent atoms:
Ac  0.029  0.283  0.466 (multiplicity 32)
Bi  0.125  0.125  0.625 (multiplicity 8)
Ru  0.000  0.000  0.000 (multiplicity 16)

Most intense lines, 2θ from 5° to 70°, by intensity:
25.0°, rel. 100; 27.9°, rel. 99; 33.4°, rel. 86; 28.1°, rel. 69; 33.5°, rel. 58; 44.0°, rel. 54; 42.2°, rel. 47; 17.7°, rel. 46; 35.9°, rel. 41; 53.2°, rel. 28; 25.2°, rel. 28; 62.8°, rel. 22

=====

(7)
Diffraction record for Na4C23. The powder XRD pattern is computed, not measured: it uses a cell relaxed with GGA-PBE and Cu Kα (λ = 1.5418 Å).
Neutral-atom scattering factors, no anomalous dispersion.

Structural model:
abc: 7.024 7.024 7.024
angles: 90.00 90.00 90.00
Space group Pm-3n (No. 223)
One atom of each set of equivalent atoms:
Na  0.000  0.000  0.000 (multiplicity 2)
Na  0.000  0.250  0.500 (multiplicity 6)
C  0.000  0.302  0.134 (multiplicity 24)
C  0.000  0.500  0.250 (multiplicity 6)
C  0.186  0.186  0.186 (multiplicity 16)

Most intense lines, 2θ from 5° to 70°, by intensity:
48.5°, rel. 100; 46.6°, rel. 50; 44.7°, rel. 22; 52.1°, rel. 20; 31.2°, rel. 8; 53.8°, rel. 7; 58.8°, rel. 6; 17.9°, rel. 4; 40.6°, rel. 2; 55.5°, rel. 2; 28.4°, rel. 1; 65.0°, rel. 1

=====

(8)
Diffraction record for CePuHgRh. The powder XRD pattern is computed, not measured: it uses a cell relaxed with GGA-PBE and Cu Kα (λ = 1.5418 Å).
Neutral-atom scattering factors, no anomalous dispersion.

Structural model:
abc: 3.483 3.483 7.858
angles: 90.00 90.00 90.00
Space group P4mm (No. 99)
One atom of each set of equivalent atoms:
Ce  0.000  0.000  0.000 (multiplicity 1)
Pu  0.000  0.000  0.575 (multiplicity 1)
Hg  0.500  0.500  0.291 (multiplicity 1)
Rh  0.500  0.500  0.794 (multiplicity 1)

Most intense lines, 2θ from 5° to 70°, by intensity:
34.4°, rel. 100; 36.5°, rel. 48; 64.3°, rel. 33; 52.6°, rel. 17; 28.0°, rel. 17; 60.3°, rel. 14; 50.9°, rel. 10; 65.1°, rel. 8; 46.2°, rel. 8; 34.2°, rel. 7; 11.3°, rel. 6; 64.2°, rel. 5

=====

(9)
Diffraction record for NaErTe2O8. The powder XRD pattern is computed, not measured: it uses a cell relaxed with GGA-PBE and Cu Kα (λ = 1.5418 Å).
Neutral-atom scattering factors, no anomalous dispersion.

Structural model:
abc: 5.249 5.249 11.375
angles: 90.00 90.00 90.00
Space group I-4 (No. 82)
One atom of each set of equivalent atoms:
Na  0.000  0.000  0.000 (multiplicity 2)
Er  0.000  0.500  0.750 (multiplicity 2)
Te  0.000  0.000  0.500 (multiplicity 2)
Te  0.000  0.500  0.250 (multiplicity 2)
O  0.163  0.248  0.589 (multiplicity 8)
O  0.181  0.746  0.168 (multiplicity 8)

Most intense lines, 2θ from 5° to 70°, by intensity:
28.7°, rel. 100; 47.1°, rel. 32; 57.9°, rel. 27; 18.6°, rel. 20; 34.2°, rel. 18; 54.3°, rel. 17; 49.1°, rel. 15; 31.5°, rel. 13; 15.6°, rel. 12; 59.5°, rel. 12; 24.0°, rel. 8; 29.1°, rel. 7

=====

(10)
Diffraction record for LiEuPdAu. The powder XRD pattern is computed, not measured: it uses a cell relaxed with GGA-PBE and Cu Kα (λ = 1.5418 Å).
Neutral-atom scattering factors, no anomalous dispersion.

Structural model:
abc: 6.960 6.960 6.960
angles: 90.00 90.00 90.00
Space group F-43m (No. 216)
One atom of each set of equivalent atoms:
Li  0.000  0.000  0.000 (multiplicity 4)
Eu  0.000  0.000  0.500 (multiplicity 4)
Pd  0.250  0.250  0.250 (multiplicity 4)
Au  0.250  0.250  0.750 (multiplicity 4)

Most intense lines, 2θ from 5° to 70°, by intensity:
36.5°, rel. 100; 65.7°, rel. 36; 22.1°, rel. 32; 43.1°, rel. 18; 52.6°, rel. 18; 25.6°, rel. 13; 57.7°, rel. 7; 59.4°, rel. 5; 45.1°, rel. 4

=====

(11)
Diffraction record for HoPu2Sb3. The powder XRD pattern is computed, not measured: it uses a cell relaxed with GGA-PBE and Cu Kα (λ = 1.5418 Å).
Neutral-atom scattering factors, no anomalous dispersion.

Structural model:
abc: 4.407 6.226 13.206
angles: 90.00 90.00 90.00
Space group Immm (No. 71)
One atom of each set of equivalent atoms:
Ho  0.000  0.000  0.000 (multiplicity 2)
Pu  0.000  0.000  0.333 (multiplicity 4)
Sb  0.000  0.500  0.000 (multiplicity 2)
Sb  0.000  0.500  0.334 (multiplicity 4)

Most intense lines, 2θ from 5° to 70°, by intensity:
28.7°, rel. 100; 41.0°, rel. 77; 67.2°, rel. 36; 50.8°, rel. 28; 24.8°, rel. 13; 59.4°, rel. 13; 48.5°, rel. 7; 65.3°, rel. 3; 15.7°, rel. 1; 13.4°, rel. 1; 28.3°, rel. 1; 21.3°, rel. 1

=====

(12)
Diffraction record for Cs4Pm3ZrSe8. The powder XRD pattern is computed, not measured: it uses a cell relaxed with GGA-PBE and Cu Kα (λ = 1.5418 Å).
Neutral-atom scattering factors, no anomalous dispersion.

Structural model:
abc: 8.5482 8.5482 25.2122
angles: 90.00 90.00 120.00
Space group R-3m (No. 166, hexagonal axes)
One atom of each set of equivalent atoms:
Cs  0.0000  0.0000  0.0000 (multiplicity 3)
Cs  0.0000  0.5000  0.0000 (multiplicity 9)
Pm  0.0000  0.5000  0.5000 (multiplicity 9)
Zr  0.0000  0.0000  0.5000 (multiplicity 3)
Se  0.0000  0.0000  0.2310 (multiplicity 6)
Se  0.0184  0.5092  0.2287 (multiplicity 18)

Most intense lines, 2θ from 5° to 70°, by intensity:
28.0°, rel. 100; 42.3°, rel. 35; 37.5°, rel. 33; 51.5°, rel. 18; 68.7°, rel. 15; 25.1°, rel. 10; 57.8°, rel. 9; 21.1°, rel. 9; 43.4°, rel. 9; 61.9°, rel. 9; 10.5°, rel. 8; 56.9°, rel. 8